Starting from a DFT-relaxed cell (GGA-PBE, Alexandria), the X-ray powder pattern of La6ScS8 was simulated for CuKα.

Most intense lines, 10° ≤ 2θ ≤ 80°, by angle:
- 2θ = 20.89°, rel. 38
- 2θ = 25.83°, rel. 100
- 2θ = 30.33°, rel. 36
- 2θ = 33.75°, rel. 26
- 2θ = 36.60°, rel. 48
- 2θ = 37.11°, rel. 47
- 2θ = 38.20°, rel. 18
- 2θ = 45.34°, rel. 18
- 2θ = 45.57°, rel. 16
- 2θ = 48.24°, rel. 23

Structural model:
a b c (Å): 7.672 7.672 7.672
angles (deg): 67.33 67.33 67.33
Fractional coordinates of all 15 atoms:
La1 0.030 0.421 0.799
La2 0.201 0.970 0.579
La3 0.421 0.799 0.030
La4 0.579 0.201 0.970
La5 0.799 0.030 0.421
La6 0.970 0.579 0.201
Sc1 0.500 0.500 0.500
S1 0.159 0.678 0.408
S2 0.171 0.171 0.171
S3 0.322 0.592 0.841
S4 0.408 0.159 0.678
S5 0.592 0.841 0.322
S6 0.678 0.408 0.159
S7 0.829 0.829 0.829
S8 0.841 0.322 0.592